[1]
Simulated X-ray powder pattern
Compound: LiFeP2O7
Radiation: Cu Ka
Structure: a cell relaxed with PBE+U

Crystal structure
a = 8.4827 Å, b = 13.3994 Å, c = 10.5286 Å
α = 90.00°, β = 93.16°, γ = 90.00°
Space group C2/c (No. 15)
Inequivalent atoms, fractional coordinates:
Li  0.0003  0.2204  0.0012 (multiplicity 8)
Fe  0.1780  0.0002  0.1015 (multiplicity 8)
P  0.2091  0.3942  0.6372 (multiplicity 8)
P  0.2164  0.3910  0.1382 (multiplicity 8)
O  0.0918  0.3133  0.6168 (multiplicity 8)
O  0.1041  0.3071  0.1211 (multiplicity 8)
O  0.1197  0.4971  0.1175 (multiplicity 8)
O  0.1558  0.1026  0.9645 (multiplicity 8)
O  0.1614  0.1020  0.4641 (multiplicity 8)
O  0.1995  0.1013  0.7274 (multiplicity 8)
O  0.2091  0.1011  0.2274 (multiplicity 8)

Most intense lines, 2θ from 5° to 70°, by intensity:
Position (°2θ)	I/Imax	index
13.22	100	0 2 0
20.98	75	2 0 0
26.29	53	2 0 -2
27.90	38	1 3 -2
24.87	37	2 2 0
28.61	32	1 3 2
34.12	23	0 0 4
38.89	23	1 5 -2
27.77	23	2 0 2
41.74	15	1 3 4


[2]
Simulated X-ray powder pattern
Compound: Li2Fe3P4O14
Radiation: Cu Ka
Structure: a cell relaxed with PBE+U

Crystal structure
a = 7.8361 Å, b = 9.0361 Å, c = 9.1776 Å
α = 90.00°, β = 109.09°, γ = 90.00°
Space group P2_1/c (No. 14)
Inequivalent atoms, fractional coordinates:
Li  0.2337  0.0294  0.1580 (multiplicity 4)
Fe  0.0135  0.2160  0.4569 (multiplicity 4)
Fe  0.5000  0.0000  0.5000 (multiplicity 2)
P  0.1238  0.0233  0.7802 (multiplicity 4)
P  0.3991  0.7049  0.2587 (multiplicity 4)
O  0.0456  0.0748  0.2872 (multiplicity 4)
O  0.1277  0.0893  0.9360 (multiplicity 4)
O  0.1392  0.1378  0.6634 (multiplicity 4)
O  0.2475  0.7140  0.6327 (multiplicity 4)
O  0.3012  0.5780  0.3297 (multiplicity 4)
O  0.4678  0.1171  0.2998 (multiplicity 4)
O  0.4935  0.6934  0.8919 (multiplicity 4)

Most intense lines, 2θ from 5° to 70°, by intensity:
Position (°2θ)	I/Imax	index
28.22	100	1 2 -2
24.89	52	2 1 -1
20.63	49	1 1 1
26.02	41	2 1 0
24.04	41	2 0 0
22.37	39	1 1 -2
33.63	22	1 2 2
14.15	17	0 1 1
41.69	17	3 2 0
32.49	15	1 3 -1